No. 1
# PmIn2Br6
Calculated XRD peak list, Cu Kα X-rays. Input: a structure optimized by DFT (PBE).
No peak broadening, texture or thermal motion is included.

Structure:
Cell lengths 10.141, 10.141, 6.853 Å; angles 95.71, 95.71, 99.77 degrees
Fractional positions:
Pm: 0.089 0.911 0.750
Pm: 0.911 0.089 0.250
In: 0.261 0.468 0.910
In: 0.468 0.261 0.410
In: 0.532 0.739 0.590
In: 0.739 0.532 0.090
Br: 0.054 0.651 0.870
Br: 0.068 0.181 0.627
Br: 0.181 0.068 0.127
Br: 0.315 0.502 0.496
Br: 0.349 0.946 0.630
Br: 0.498 0.685 0.004
Br: 0.502 0.315 0.996
Br: 0.651 0.054 0.370
Br: 0.685 0.498 0.504
Br: 0.819 0.932 0.873
Br: 0.932 0.819 0.373
Br: 0.946 0.349 0.130

Most intense lines, 2θ from 15° to 90°, low angle first:
two_theta, I (rel.)
16.7, 100.0
26.8, 46.7
27.6, 52.2
27.8, 43.4
28.6, 47.0
28.9, 38.2
29.0, 50.7
31.7, 59.5
34.6, 36.7
35.7, 67.9
39.3, 60.3
40.2, 47.9

***

No. 2
# Pr2In5Br12
Calculated XRD peak list, Cu Kα X-rays. Input: a structure optimized by DFT (PBE).
No peak broadening, texture or thermal motion is included.

Structure:
Cell lengths 10.055, 10.055, 7.647 Å; angles 105.09, 105.09, 62.94 degrees
Fractional positions:
Pr: 0.249 0.751 0.000
Pr: 0.751 0.249 0.000
In: 0.153 0.153 0.517
In: 0.250 0.250 0.006
In: 0.500 0.500 0.500
In: 0.750 0.750 0.994
In: 0.847 0.847 0.483
Br: 0.019 0.639 0.770
Br: 0.020 0.020 0.789
Br: 0.211 0.591 0.257
Br: 0.361 0.981 0.230
Br: 0.409 0.789 0.743
Br: 0.417 0.417 0.793
Br: 0.583 0.583 0.207
Br: 0.591 0.211 0.257
Br: 0.639 0.019 0.770
Br: 0.789 0.409 0.743
Br: 0.980 0.980 0.211
Br: 0.981 0.361 0.230

Most intense lines, 2θ from 15° to 90°, low angle first:
two_theta, I (rel.)
24.7, 31.2
25.3, 40.9
27.4, 49.4
28.1, 33.4
28.1, 47.9
29.1, 43.6
31.9, 30.4
34.2, 43.1
34.4, 41.8
34.7, 44.2
35.9, 100.0
39.3, 34.8

***

No. 3
# PrInSn2Br8
Calculated XRD peak list, Cu Kα X-rays. Input: a structure optimized by DFT (PBE).
No peak broadening, texture or thermal motion is included.

Structure:
Cell lengths 6.933, 7.301, 9.158 Å; angles 89.89, 89.92, 89.06 degrees
Fractional positions:
Pr: 0.000 0.000 0.000
In: 0.000 0.000 0.500
Sn: 0.500 0.500 0.256
Sn: 0.500 0.500 0.744
Br: 0.243 0.836 0.229
Br: 0.243 0.836 0.771
Br: 0.250 0.325 0.999
Br: 0.278 0.359 0.501
Br: 0.722 0.641 0.499
Br: 0.750 0.675 0.001
Br: 0.757 0.164 0.229
Br: 0.757 0.164 0.771

Most intense lines, 2θ from 15° to 90°, low angle first:
two_theta, I (rel.)
17.5, 100.0
17.8, 89.5
23.3, 74.7
26.2, 72.2
26.4, 86.9
27.4, 43.1
34.5, 51.0
34.6, 47.4
34.9, 84.1
39.4, 58.2
42.0, 47.5
42.1, 47.2

***

No. 4
# PuIn2Br5
Calculated XRD peak list, Cu Kα X-rays. Input: a structure optimized by DFT (PBE).
No peak broadening, texture or thermal motion is included.

Structure:
Cell lengths 13.571, 9.108, 8.551 Å; angles 90.00, 90.00, 90.00 degrees
Fractional positions:
Pu: 0.002 0.250 0.067
Pu: 0.498 0.750 0.567
Pu: 0.502 0.250 0.433
Pu: 0.998 0.750 0.933
In: 0.171 0.003 0.553
In: 0.171 0.497 0.553
In: 0.329 0.503 0.053
In: 0.329 0.997 0.053
In: 0.671 0.003 0.947
In: 0.671 0.497 0.947
In: 0.829 0.503 0.447
In: 0.829 0.997 0.447
Br: 0.005 0.250 0.421
Br: 0.079 0.542 0.166
Br: 0.079 0.958 0.166
Br: 0.183 0.250 0.882
Br: 0.205 0.750 0.840
Br: 0.295 0.250 0.340
Br: 0.317 0.750 0.382
Br: 0.421 0.042 0.666
Br: 0.421 0.458 0.666
Br: 0.495 0.750 0.921
Br: 0.505 0.250 0.079
Br: 0.579 0.542 0.334
Br: 0.579 0.958 0.334
Br: 0.683 0.250 0.618
Br: 0.705 0.750 0.660
Br: 0.795 0.250 0.160
Br: 0.817 0.750 0.118
Br: 0.921 0.042 0.834
Br: 0.921 0.458 0.834
Br: 0.995 0.750 0.579

Most intense lines, 2θ from 15° to 90°, low angle first:
two_theta, I (rel.)
20.8, 39.3
22.2, 66.7
23.1, 76.5
23.5, 44.0
28.3, 53.6
29.4, 99.1
31.6, 97.8
32.9, 100.0
35.6, 62.7
39.6, 68.9
40.1, 71.5
42.6, 38.6

***

No. 5
# RbPuIn2Br6
Calculated XRD peak list, Cu Kα X-rays. Input: a structure optimized by DFT (PBE).
No peak broadening, texture or thermal motion is included.

Structure:
Cell lengths 8.604, 8.604, 8.604 Å; angles 56.98, 56.98, 56.98 degrees
Fractional positions:
Rb: 0.000 0.000 0.000
Pu: 0.488 0.488 0.488
In: 0.289 0.289 0.289
In: 0.799 0.799 0.799
Br: 0.123 0.666 0.413
Br: 0.246 0.598 0.834
Br: 0.413 0.123 0.666
Br: 0.598 0.834 0.246
Br: 0.666 0.413 0.123
Br: 0.834 0.246 0.598

Most intense lines, 2θ from 15° to 90°, low angle first:
two_theta, I (rel.)
20.7, 49.3
21.7, 36.7
25.0, 74.3
30.1, 42.1
33.1, 100.0
37.4, 41.1
38.0, 58.2
43.8, 21.9
43.9, 16.8
51.3, 24.0
59.2, 15.5
65.5, 16.1

***

No. 6
# Rb2PuInBr6
Calculated XRD peak list, Cu Kα X-rays. Input: a structure optimized by DFT (PBE).
No peak broadening, texture or thermal motion is included.

Structure:
Cell lengths 8.046, 8.627, 14.050 Å; angles 90.00, 124.22, 90.00 degrees
Fractional positions:
Rb: 0.220 0.076 0.249
Rb: 0.220 0.424 0.749
Rb: 0.780 0.576 0.251
Rb: 0.780 0.924 0.751
Pu: 0.500 0.000 0.000
Pu: 0.500 0.500 0.500
In: 0.000 0.000 0.500
In: 0.000 0.500 0.000
Br: 0.156 0.183 0.944
Br: 0.156 0.317 0.444
Br: 0.267 0.717 0.940
Br: 0.267 0.783 0.440
Br: 0.381 0.043 0.766
Br: 0.381 0.457 0.266
Br: 0.619 0.543 0.734
Br: 0.619 0.957 0.234
Br: 0.733 0.217 0.560
Br: 0.733 0.283 0.060
Br: 0.844 0.683 0.556
Br: 0.844 0.817 0.056

Most intense lines, 2θ from 15° to 90°, low angle first:
two_theta, I (rel.)
15.1, 100.0
15.3, 40.5
21.4, 71.1
21.6, 70.4
25.7, 46.0
30.4, 96.8
30.8, 57.7
33.1, 46.7
34.0, 75.2
37.3, 40.6
38.2, 58.3
38.6, 40.2

***

No. 7
# RbIn3Br8
Calculated XRD peak list, Cu Kα X-rays. Input: a structure optimized by DFT (PBE).
No peak broadening, texture or thermal motion is included.

Structure:
Cell lengths 8.148, 8.148, 10.275 Å; angles 90.00, 90.00, 120.00 degrees
Fractional positions:
Rb: 0.000 0.000 0.000
In: 0.000 0.000 0.500
In: 0.333 0.667 0.812
In: 0.667 0.333 0.188
Br: 0.163 0.325 0.726
Br: 0.163 0.837 0.726
Br: 0.325 0.163 0.274
Br: 0.333 0.667 0.057
Br: 0.667 0.333 0.943
Br: 0.675 0.837 0.726
Br: 0.837 0.163 0.274
Br: 0.837 0.675 0.274

Most intense lines, 2θ from 15° to 90°, low angle first:
two_theta, I (rel.)
15.2, 100.0
21.8, 41.2
23.5, 20.4
26.7, 24.5
27.9, 23.5
29.0, 23.7
30.7, 43.9
34.7, 29.1
37.2, 15.3
43.0, 17.5
43.6, 23.4
44.5, 38.0

***

No. 8
# Rb2InBr6
Calculated XRD peak list, Cu Kα X-rays. Input: a structure optimized by DFT (PBE).
No peak broadening, texture or thermal motion is included.

Structure:
Cell lengths 8.917, 8.917, 6.642 Å; angles 111.76, 111.76, 50.70 degrees
Fractional positions:
Rb: 0.171 0.171 0.169
Rb: 0.829 0.829 0.831
In: 0.500 0.500 0.500
Br: 0.128 0.614 0.372
Br: 0.318 0.682 0.000
Br: 0.386 0.872 0.628
Br: 0.614 0.128 0.372
Br: 0.682 0.318 0.000
Br: 0.872 0.386 0.628

Most intense lines, 2θ from 15° to 90°, low angle first:
two_theta, I (rel.)
17.7, 30.5
21.5, 41.2
26.8, 61.3
32.6, 100.0
33.3, 14.0
34.7, 24.2
36.7, 10.9
37.9, 13.1
41.0, 12.8
46.0, 11.2
51.2, 26.9
55.5, 13.4

***

No. 9
# Rb2In3Br5
Calculated XRD peak list, Cu Kα X-rays. Input: a structure optimized by DFT (PBE).
No peak broadening, texture or thermal motion is included.

Structure:
Cell lengths 9.048, 9.048, 9.913 Å; angles 106.49, 106.49, 29.44 degrees
Fractional positions:
Rb: 0.183 0.183 0.232
Rb: 0.817 0.817 0.768
In: 0.000 0.000 0.500
In: 0.435 0.435 0.244
In: 0.565 0.565 0.756
Br: 0.179 0.179 0.859
Br: 0.363 0.363 0.538
Br: 0.500 0.500 0.000
Br: 0.637 0.637 0.462
Br: 0.821 0.821 0.141

Most intense lines, 2θ from 15° to 90°, low angle first:
two_theta, I (rel.)
24.2, 12.9
25.1, 27.6
25.7, 14.5
28.5, 100.0
30.0, 20.3
32.1, 13.0
33.1, 23.6
33.5, 32.0
34.3, 19.8
39.2, 27.5
41.8, 11.8
64.6, 14.0

***

No. 10
# Rb3InBr6
Calculated XRD peak list, Cu Kα X-rays. Input: a structure optimized by DFT (PBE).
No peak broadening, texture or thermal motion is included.

Structure:
Cell lengths 9.545, 9.545, 9.545 Å; angles 90.98, 90.98, 90.98 degrees
Fractional positions:
Rb: 0.070 0.748 0.575
Rb: 0.252 0.425 0.930
Rb: 0.425 0.930 0.252
Rb: 0.575 0.070 0.748
Rb: 0.748 0.575 0.070
Rb: 0.930 0.252 0.425
In: 0.000 0.000 0.000
In: 0.500 0.500 0.500
Br: 0.048 0.725 0.936
Br: 0.064 0.952 0.275
Br: 0.231 0.421 0.561
Br: 0.275 0.064 0.952
Br: 0.421 0.561 0.231
Br: 0.439 0.769 0.579
Br: 0.561 0.231 0.421
Br: 0.579 0.439 0.769
Br: 0.725 0.936 0.048
Br: 0.769 0.579 0.439
Br: 0.936 0.048 0.725
Br: 0.952 0.275 0.064

Most intense lines, 2θ from 15° to 90°, low angle first:
two_theta, I (rel.)
18.6, 37.9
20.7, 42.4
22.8, 24.6
29.4, 76.9
29.8, 100.0
34.9, 65.1
35.2, 26.6
40.5, 23.3
42.7, 27.6
44.2, 17.6
55.7, 21.7
56.7, 18.8

***

No. 11
# Rb2InSeBr3
Calculated XRD peak list, Cu Kα X-rays. Input: a structure optimized by DFT (PBE).
No peak broadening, texture or thermal motion is included.

Structure:
Cell lengths 9.528, 9.528, 9.528 Å; angles 147.75, 145.35, 48.06 degrees
Fractional positions:
Rb: 0.137 0.137 0.000
Rb: 0.863 0.863 0.000
In: 0.500 0.500 0.000
Se: 0.500 0.000 0.500
Br: 0.000 0.500 0.500
Br: 0.338 0.338 0.000
Br: 0.662 0.662 0.000

Most intense lines, 2θ from 15° to 90°, low angle first:
two_theta, I (rel.)
23.0, 92.9
25.2, 36.2
30.1, 32.6
30.8, 100.0
30.9, 97.9
31.5, 91.8
33.9, 75.5
44.7, 70.0
46.0, 19.9
46.4, 42.3
47.0, 58.9
57.2, 44.9

***

No. 12
# Rb2InSeBr6
Calculated XRD peak list, Cu Kα X-rays. Input: a structure optimized by DFT (PBE).
No peak broadening, texture or thermal motion is included.

Structure:
Cell lengths 8.238, 8.238, 8.238 Å; angles 123.68, 123.68, 83.74 degrees
Fractional positions:
Rb: 0.250 0.750 0.500
Rb: 0.750 0.250 0.500
In: 0.000 0.000 0.000
Se: 0.500 0.500 0.000
Br: 0.223 0.223 0.000
Br: 0.257 0.257 0.515
Br: 0.257 0.743 0.000
Br: 0.743 0.257 0.000
Br: 0.743 0.743 0.485
Br: 0.777 0.777 0.000

Most intense lines, 2θ from 15° to 90°, low angle first:
two_theta, I (rel.)
16.1, 27.5
21.7, 35.0
27.2, 92.7
29.1, 62.5
32.6, 100.0
44.2, 78.9
46.7, 35.3
54.9, 24.2
56.0, 41.2
75.8, 15.1
77.7, 15.3
85.0, 23.8